This entry pairs a crystal structure of Li2NbSi2 with its computed X-ray diffraction stick pattern. Radiation: Cu Kα X-rays. Structure: a PBE-relaxed structure.
Lines closer than 0.1° are merged.

Principal peaks in the range 10° ≤ 2θ ≤ 80°, by intensity:
17.0°, d = 5.213 Å, I = 100.0
40.4°, d = 2.232 Å, I = 29.4
30.7°, d = 2.913 Å, I = 22.7
35.3°, d = 2.543 Å, I = 22.0
28.1°, d = 3.171 Å, I = 20.2
42.3°, d = 2.136 Å, I = 20.1
32.7°, d = 2.737 Å, I = 18.2
21.7°, d = 4.087 Å, I = 17.7
41.4°, d = 2.183 Å, I = 17.0
44.3°, d = 2.044 Å, I = 13.8
54.0°, d = 1.697 Å, I = 12.7
48.2°, d = 1.888 Å, I = 11.5

Structural model:
Cell: 8.8859 20.8515 3.4399 Å, 90.00 90.00 90.00°
Space group Fdd2 (No. 43)
One atom of each set of equivalent atoms:
Li: 0.1003 0.3514 0.0000 [16 per cell]
Nb: 0.0000 0.0000 0.2569 [8 per cell]
Si: 0.0481 0.2151 0.0041 [16 per cell]

---

This entry pairs a crystal structure of Ge4Pt3Se with its computed X-ray diffraction stick pattern. Radiation: Cu Kα X-rays. Structure: a PBE-relaxed structure.
Lines closer than 0.1° are merged.

Principal peaks in the range 10° ≤ 2θ ≤ 80°, by intensity:
29.6°, d = 3.023 Å, I = 100.0
36.4°, d = 2.467 Å, I = 79.6
40.4°, d = 2.234 Å, I = 58.8
38.5°, d = 2.337 Å, I = 57.3
52.5°, d = 1.743 Å, I = 33.2
52.3°, d = 1.749 Å, I = 32.0
12.7°, d = 6.963 Å, I = 31.2
42.5°, d = 2.127 Å, I = 29.1
40.7°, d = 2.216 Å, I = 28.6
53.4°, d = 1.715 Å, I = 27.5
46.0°, d = 1.973 Å, I = 25.5
41.4°, d = 2.183 Å, I = 24.8

Structural model:
Cell: 6.0573 3.4976 6.9921 Å, 90.00 95.24 90.00°
Space group Pm (No. 6)
One atom of each set of equivalent atoms:
Ge: 0.0000 0.0000 0.0000 [1 per cell]
Ge: 0.1932 0.5000 0.5937 [1 per cell]
Ge: 0.4844 0.5000 0.1098 [1 per cell]
Ge: 0.6845 0.0000 0.4315 [1 per cell]
Pt: 0.2765 0.0000 0.3309 [1 per cell]
Pt: 0.3517 0.0000 0.8466 [1 per cell]
Pt: 0.8972 0.5000 0.2387 [1 per cell]
Se: 0.7875 0.5000 0.7062 [1 per cell]

---

This entry pairs a crystal structure of MgCdAsO4F with its computed X-ray diffraction stick pattern. Radiation: Cu Kα X-rays. Structure: a PBE-relaxed structure.
Lines closer than 0.1° are merged.

Principal peaks in the range 10° ≤ 2θ ≤ 80°, by intensity:
33.7°, d = 2.661 Å, I = 100.0
29.5°, d = 3.025 Å, I = 89.7
27.5°, d = 3.244 Å, I = 65.2
27.7°, d = 3.223 Å, I = 58.8
31.4°, d = 2.850 Å, I = 55.7
39.9°, d = 2.257 Å, I = 49.7
34.4°, d = 2.609 Å, I = 44.0
17.7°, d = 5.002 Å, I = 40.9
55.1°, d = 1.667 Å, I = 35.8
48.0°, d = 1.894 Å, I = 25.9
20.0°, d = 4.444 Å, I = 24.9
61.8°, d = 1.501 Å, I = 24.8

Structural model:
Cell: 6.6076 8.8872 7.0393 Å, 90.00 113.69 90.00°
Space group C2/c (No. 15)
One atom of each set of equivalent atoms:
Mg: 0.0000 0.0000 0.0000 [4 per cell]
Cd: 0.0000 0.3357 0.2500 [4 per cell]
As: 0.0000 0.3217 0.7500 [4 per cell]
O: 0.1204 0.2128 0.6219 [8 per cell]
O: 0.1797 0.4407 0.9308 [8 per cell]
F: 0.0000 0.0818 0.2500 [4 per cell]

---

This entry pairs a crystal structure of K3CuP2S7 with its computed X-ray diffraction stick pattern. Radiation: Cu Kα X-rays. Structure: a PBE-relaxed structure.
Lines closer than 0.1° are merged.

Principal peaks in the range 10° ≤ 2θ ≤ 80°, by intensity:
28.8°, d = 3.095 Å, I = 100.0
30.0°, d = 2.977 Å, I = 83.8
15.6°, d = 5.682 Å, I = 82.7
30.8°, d = 2.904 Å, I = 80.0
11.8°, d = 7.519 Å, I = 63.8
31.8°, d = 2.812 Å, I = 62.8
29.7°, d = 3.008 Å, I = 44.6
13.9°, d = 6.356 Å, I = 43.0
33.8°, d = 2.654 Å, I = 41.4
49.8°, d = 1.830 Å, I = 36.6
40.2°, d = 2.244 Å, I = 34.6
27.1°, d = 3.294 Å, I = 34.5

Structural model:
Cell: 15.2171 6.7390 13.2175 Å, 90.00 98.80 90.00°
Space group P2_1/c (No. 14)
One atom of each set of equivalent atoms:
K: 0.0273 0.2207 0.4032 [4 per cell]
K: 0.1995 0.7399 0.8161 [4 per cell]
K: 0.4277 0.1514 0.8422 [4 per cell]
Cu: 0.3045 0.5208 0.0647 [4 per cell]
P: 0.1462 0.2400 0.6689 [4 per cell]
P: 0.3383 0.9998 0.1139 [4 per cell]
S: 0.0140 0.1955 0.1471 [4 per cell]
S: 0.1647 0.5200 0.0926 [4 per cell]
S: 0.1931 0.0162 0.0861 [4 per cell]
S: 0.2067 0.2367 0.8147 [4 per cell]
S: 0.3601 0.7017 0.5035 [4 per cell]
S: 0.3840 0.6019 0.7547 [4 per cell]
S: 0.3958 0.2362 0.5827 [4 per cell]

---

This entry pairs a crystal structure of Ga2AgO4 with its computed X-ray diffraction stick pattern. Radiation: Cu Kα X-rays. Structure: a PBE-relaxed structure.
Lines closer than 0.1° are merged.

Principal peaks in the range 10° ≤ 2θ ≤ 80°, by intensity:
34.4°, d = 2.609 Å, I = 100.0
29.2°, d = 3.059 Å, I = 47.2
55.2°, d = 1.665 Å, I = 39.4
60.5°, d = 1.529 Å, I = 38.0
51.8°, d = 1.766 Å, I = 16.1
71.5°, d = 1.319 Å, I = 11.6
36.0°, d = 2.498 Å, I = 9.8
68.6°, d = 1.368 Å, I = 6.1
72.5°, d = 1.304 Å, I = 6.0
41.8°, d = 2.163 Å, I = 5.5
45.7°, d = 1.985 Å, I = 0.9
76.2°, d = 1.249 Å, I = 0.7

Structural model:
Cell: 8.6520 8.6520 8.6520 Å, 90.00 90.00 90.00°
Space group Fd-3m (No. 227, origin choice 2)
One atom of each set of equivalent atoms:
Ga: 0.0000 0.0000 0.0000 [16 per cell]
Ag: 0.1250 0.1250 0.6250 [8 per cell]
O: 0.0184 0.0184 0.2316 [32 per cell]

---

This entry pairs a crystal structure of La2DyZn2Ge4Au2 with its computed X-ray diffraction stick pattern. Radiation: Cu Kα X-rays. Structure: a PBE-relaxed structure.
Lines closer than 0.1° are merged.

Principal peaks in the range 10° ≤ 2θ ≤ 80°, by intensity:
32.6°, d = 2.747 Å, I = 100.0
32.4°, d = 2.765 Å, I = 48.6
40.9°, d = 2.207 Å, I = 34.2
43.7°, d = 2.071 Å, I = 32.5
43.2°, d = 2.092 Å, I = 26.5
53.1°, d = 1.725 Å, I = 24.0
63.2°, d = 1.472 Å, I = 21.7
61.0°, d = 1.518 Å, I = 18.5
37.4°, d = 2.403 Å, I = 17.4
27.4°, d = 3.249 Å, I = 13.5
29.4°, d = 3.037 Å, I = 12.1
20.4°, d = 4.351 Å, I = 11.4

Structural model:
Cell: 4.1841 4.4139 25.7896 Å, 90.00 90.00 90.00°
Space group Immm (No. 71)
One atom of each set of equivalent atoms:
La: 0.0000 0.0000 0.1467 [4 per cell]
Dy: 0.0000 0.5000 0.0000 [2 per cell]
Zn: 0.0000 0.5000 0.2508 [4 per cell]
Ge: 0.0000 0.0000 0.3069 [4 per cell]
Ge: 0.0000 0.5000 0.4525 [4 per cell]
Au: 0.0000 0.0000 0.4069 [4 per cell]

---

This entry pairs a crystal structure of AlInCu2SeS3 with its computed X-ray diffraction stick pattern. Radiation: Cu Kα X-rays. Structure: a PBE-relaxed structure.
Lines closer than 0.1° are merged.

Principal peaks in the range 10° ≤ 2θ ≤ 80°, by intensity:
28.1°, d = 3.176 Å, I = 100.0
46.7°, d = 1.945 Å, I = 41.9
28.0°, d = 3.192 Å, I = 31.3
46.5°, d = 1.953 Å, I = 28.8
55.3°, d = 1.660 Å, I = 21.0
55.2°, d = 1.664 Å, I = 14.2
46.8°, d = 1.943 Å, I = 13.9
18.0°, d = 4.934 Å, I = 12.9
22.8°, d = 3.909 Å, I = 9.2
55.5°, d = 1.656 Å, I = 8.2
36.5°, d = 2.462 Å, I = 7.1
37.4°, d = 2.405 Å, I = 7.0

Structural model:
Cell: 5.5097 5.5212 6.7263 Å, 113.87 114.16 90.26°
Space group P1 (No. 1)
One atom of each set of equivalent atoms:
Al: 0.0000 0.0000 0.0000 [1 per cell]
In: 0.2596 0.7438 0.4906 [1 per cell]
Cu: 0.5238 0.4823 0.0059 [1 per cell]
Cu: 0.7348 0.2175 0.4798 [1 per cell]
Se: 0.1184 0.6044 0.7593 [1 per cell]
S: 0.3805 0.3389 0.2297 [1 per cell]
S: 0.6558 0.1352 0.7612 [1 per cell]
S: 0.8616 0.8743 0.2293 [1 per cell]

---

This entry pairs a crystal structure of Tb3SnPd4 with its computed X-ray diffraction stick pattern. Radiation: Cu Kα X-rays. Structure: a PBE-relaxed structure.
Lines closer than 0.1° are merged.

Principal peaks in the range 10° ≤ 2θ ≤ 80°, by intensity:
32.9°, d = 2.722 Å, I = 100.0
39.8°, d = 2.264 Å, I = 67.5
37.0°, d = 2.431 Å, I = 59.1
40.2°, d = 2.243 Å, I = 57.6
36.6°, d = 2.456 Å, I = 51.7
40.6°, d = 2.224 Å, I = 44.3
34.7°, d = 2.582 Å, I = 37.3
35.2°, d = 2.553 Å, I = 36.0
28.8°, d = 3.105 Å, I = 26.4
53.9°, d = 1.702 Å, I = 21.6
28.5°, d = 3.131 Å, I = 21.1
54.2°, d = 1.694 Å, I = 21.0

Structural model:
Cell: 5.5433 4.5273 6.8154 Å, 90.00 90.93 90.00°
Space group Pm (No. 6)
One atom of each set of equivalent atoms:
Tb: 0.0000 0.0000 0.0000 [1 per cell]
Tb: 0.2207 0.0000 0.4960 [1 per cell]
Tb: 0.7107 0.5000 0.6348 [1 per cell]
Sn: 0.4948 0.5000 0.1469 [1 per cell]
Pd: 0.0089 0.5000 0.2739 [1 per cell]
Pd: 0.2054 0.5000 0.7830 [1 per cell]
Pd: 0.5060 0.0000 0.8843 [1 per cell]
Pd: 0.6990 0.0000 0.3441 [1 per cell]

---

This entry pairs a crystal structure of Tl2Pt3 with its computed X-ray diffraction stick pattern. Radiation: Cu Kα X-rays. Structure: a PBE-relaxed structure.
Lines closer than 0.1° are merged.

Principal peaks in the range 10° ≤ 2θ ≤ 80°, by intensity:
41.3°, d = 2.185 Å, I = 100.0
38.6°, d = 2.335 Å, I = 42.8
78.6°, d = 1.218 Å, I = 26.6
65.4°, d = 1.427 Å, I = 22.0
36.9°, d = 2.435 Å, I = 21.4
71.6°, d = 1.318 Å, I = 18.1
33.9°, d = 2.643 Å, I = 14.4
36.4°, d = 2.471 Å, I = 14.3
44.9°, d = 2.020 Å, I = 11.1
12.6°, d = 7.009 Å, I = 11.0
59.4°, d = 1.556 Å, I = 10.1
31.3°, d = 2.855 Å, I = 9.8

Structural model:
Cell: 5.7076 5.7076 14.0183 Å, 90.00 90.00 120.00°
Space group P6_3/mmc (No. 194)
One atom of each set of equivalent atoms:
Tl: 0.0000 0.0000 0.2500 [2 per cell]
Tl: 0.3333 0.6667 0.0956 [4 per cell]
Tl: 0.3333 0.6667 0.7500 [2 per cell]
Pt: 0.1663 0.3326 0.5857 [12 per cell]

---

This entry pairs a crystal structure of TaAgBi2 with its computed X-ray diffraction stick pattern. Radiation: Cu Kα X-rays. Structure: a PBE-relaxed structure.
Lines closer than 0.1° are merged.

Principal peaks in the range 10° ≤ 2θ ≤ 80°, by intensity:
35.1°, d = 2.557 Å, I = 100.0
63.0°, d = 1.476 Å, I = 37.3
50.5°, d = 1.808 Å, I = 18.0
74.2°, d = 1.278 Å, I = 11.7
21.3°, d = 4.175 Å, I = 4.2
41.4°, d = 2.180 Å, I = 2.6
55.4°, d = 1.659 Å, I = 1.2
24.6°, d = 3.616 Å, I = 1.0
78.2°, d = 1.222 Å, I = 1.0
67.3°, d = 1.392 Å, I = 1.0
57.0°, d = 1.617 Å, I = 0.5

Structural model:
Cell: 7.2310 7.2310 7.2310 Å, 90.00 90.00 90.00°
Space group F-43m (No. 216)
One atom of each set of equivalent atoms:
Ta: 0.0000 0.0000 0.0000 [4 per cell]
Ag: 0.2500 0.2500 0.2500 [4 per cell]
Bi: 0.0000 0.0000 0.5000 [4 per cell]
Bi: 0.2500 0.2500 0.7500 [4 per cell]

---

This entry pairs a crystal structure of Bi2PdO4 with its computed X-ray diffraction stick pattern. Radiation: Cu Kα X-rays. Structure: a PBE-relaxed structure.
Lines closer than 0.1° are merged.

Principal peaks in the range 10° ≤ 2θ ≤ 80°, by intensity:
30.9°, d = 2.893 Å, I = 100.0
31.5°, d = 2.841 Å, I = 20.5
55.7°, d = 1.650 Å, I = 19.3
45.0°, d = 2.014 Å, I = 18.9
31.3°, d = 2.856 Å, I = 16.6
55.5°, d = 1.656 Å, I = 12.3
23.2°, d = 3.833 Å, I = 11.8
54.7°, d = 1.678 Å, I = 9.7
43.5°, d = 2.079 Å, I = 9.1
64.4°, d = 1.447 Å, I = 8.8
54.6°, d = 1.681 Å, I = 7.7
52.8°, d = 1.734 Å, I = 7.7

Structural model:
Cell: 5.6816 5.7112 12.4753 Å, 90.00 90.00 90.00°
Space group Pbca (No. 61)
One atom of each set of equivalent atoms:
Bi: 0.0139 0.0434 0.1536 [8 per cell]
Pd: 0.0000 0.0000 0.5000 [4 per cell]
O: 0.1975 0.6989 0.5175 [8 per cell]
O: 0.2419 0.2009 0.7570 [8 per cell]

---

This entry pairs a crystal structure of DySnTeSe with its computed X-ray diffraction stick pattern. Radiation: Cu Kα X-rays. Structure: a PBE-relaxed structure.
Lines closer than 0.1° are merged.

Principal peaks in the range 10° ≤ 2θ ≤ 80°, by intensity:
31.6°, d = 2.827 Å, I = 100.0
43.1°, d = 2.101 Å, I = 49.9
34.5°, d = 2.602 Å, I = 45.7
34.1°, d = 2.628 Å, I = 40.7
37.3°, d = 2.410 Å, I = 38.2
30.2°, d = 2.964 Å, I = 37.4
42.2°, d = 2.142 Å, I = 35.0
29.0°, d = 3.082 Å, I = 32.3
43.6°, d = 2.078 Å, I = 31.9
67.5°, d = 1.387 Å, I = 25.6
31.9°, d = 2.806 Å, I = 23.9
62.3°, d = 1.491 Å, I = 22.2

Structural model:
Cell: 4.1550 26.6315 4.2833 Å, 90.00 90.00 90.00°
Space group Cmcm (No. 63)
One atom of each set of equivalent atoms:
Dy: 0.0000 0.1555 0.2500 [4 per cell]
Sn: 0.0000 0.2744 0.2500 [4 per cell]
Te: 0.0000 0.0730 0.7500 [4 per cell]
Se: 0.0000 0.4201 0.7500 [4 per cell]

---

Number 4 is which compound? K3CuP2S7